Diffraction record for Zr2VTe4. The powder X-ray diffraction pattern is calculated, not measured: it uses a cell relaxed with GGA-PBE and Cu Kα.

Cell and atoms:
Cell lengths 14.943, 3.963, 6.945 Å; angles 90.00, 117.14, 90.00 degrees
Fractional coordinates of all 14 atoms:
Zr: 0.250 0.000 0.224
Zr: 0.250 0.500 0.776
Zr: 0.750 0.000 0.776
Zr: 0.750 0.500 0.224
V: 0.000 0.500 0.500
V: 0.500 0.000 0.500
Te: 0.107 0.500 0.946
Te: 0.119 0.000 0.451
Te: 0.381 0.500 0.549
Te: 0.393 0.000 0.054
Te: 0.607 0.000 0.946
Te: 0.619 0.500 0.451
Te: 0.881 0.000 0.549
Te: 0.893 0.500 0.054

Principal peaks in the range 10° ≤ 2θ ≤ 90°, most intense first:
2theta  I_rel
29.15  100
37.70  39
45.37  28
55.22  17
37.26  16
45.80  15
74.51  14
73.84  13
60.44  12
37.52  12